Diffraction record for K2Nd2Ge2O7. The XRD peak list is simulated, not measured: it uses the PBE geometry in OQMD and Cu Kα, 1.54184 Å.
No peak broadening, texture or thermal motion is included.

Crystal structure
Cell: 5.9683 5.9683 7.9899 Å, 90.00 90.00 120.00°
Space group P-3 (No. 147)
Unique sites:
K1 0.3333 0.6667 0.4094
Nd1 0.3333 0.6667 0.8506
Ge1 0.0000 0.0000 0.2307
O1 0.0000 0.0000 0.0000
O2 0.1133 0.7961 0.6975

Largest 10 diffraction maxima, by angle, 2θ = 15–90°:
d_spacing  2θ/deg  I_rel  h k l
4.340  20.46  711  0 1 1
3.995  22.25  197  0 0 2
3.161  28.23  900  0 1 2
2.984  29.94  1000  1 1 0
2.170  41.62  398  2 0 2
1.987  45.66  267  2 -1 3
1.863  48.88  187  0 1 4
1.755  52.11  306  3 -2 2
1.723  53.16  211  3 0 0
1.397  66.99  178  3 -2 4